Computed X-ray diffraction stick pattern
Compound: Ba2V2ZnCuF14
Radiation: Cu Kα
Structure: a DFT-relaxed cell (GGA+U, Alexandria)
Intensities are scaled so that the largest is 100.

The 6 most intense peaks (10 to 90 degrees two-theta), most intense first:
(hkl), 2θ (°), Rel. int.
3 1 0, 25.11, 100
1 1 -4, 29.83, 30
2 0 4, 27.26, 30
1 1 4, 30.14, 26
2 2 3, 40.86, 25
0 0 8, 48.85, 25

Structural model:
Lattice parameters (Å, degrees): 14.367 5.278 14.928 90.00 91.77 90.00
Space group C2/c (No. 15)
One atom of each set of equivalent atoms:
Ba 0.184 0.087 0.124
V 0.120 0.023 0.373
Zn 0.000 0.439 0.750
Cu 0.000 0.500 0.000
F 0.001 0.113 0.664
F 0.050 0.438 0.119
F 0.075 0.198 0.485
F 0.106 0.316 0.287
F 0.145 0.269 0.954
F 0.175 0.177 0.775
F 0.245 0.130 0.405